Structure and computed powder diffractogram of Zr6Nb2O17 (a cell relaxed with PBE; Cu Ka).
Neutral-atom scattering factors, no anomalous dispersion.

Crystal structure
Cell lengths 21.182, 21.182, 5.032 Å; angles 96.06, 96.06, 14.46 degrees
Element x y z (fractional)
Zr 0.000 0.000 0.000
Zr 0.020 0.481 0.261
Zr 0.153 0.589 0.390
Zr 0.160 0.457 0.802
Zr 0.411 0.847 0.610
Zr 0.503 0.497 0.500
Zr 0.519 0.980 0.739
Zr 0.543 0.840 0.198
Zr 0.649 0.094 0.862
Zr 0.793 0.075 0.457
Zr 0.906 0.351 0.138
Zr 0.925 0.207 0.543
Nb 0.037 0.342 0.663
Nb 0.291 0.575 0.917
Nb 0.425 0.709 0.083
Nb 0.658 0.963 0.337
O 0.070 0.216 0.791
O 0.096 0.733 0.213
O 0.118 0.808 0.699
O 0.164 0.030 0.295
O 0.164 0.349 0.891
O 0.192 0.882 0.301
O 0.231 0.089 0.355
O 0.266 0.175 0.422
O 0.267 0.904 0.787
O 0.290 0.422 0.024
O 0.303 0.643 0.168
O 0.351 0.211 0.473
O 0.357 0.697 0.832
O 0.382 0.015 0.835
O 0.421 0.260 0.548
O 0.455 0.352 0.609
O 0.516 0.088 0.984
O 0.578 0.710 0.976
O 0.586 0.246 0.095
O 0.607 0.319 0.740
O 0.648 0.545 0.391
O 0.651 0.836 0.109
O 0.681 0.393 0.260
O 0.740 0.579 0.452
O 0.754 0.414 0.905
O 0.784 0.930 0.209
O 0.789 0.649 0.527
O 0.801 0.150 0.285
O 0.825 0.734 0.578
O 0.850 0.199 0.715
O 0.911 0.769 0.645
O 0.912 0.484 0.016
O 0.970 0.836 0.705
O 0.985 0.618 0.165

Principal peaks in the range 15 to 90 degrees two-theta, sorted by position:
29.7 deg, I 100; 29.9 deg, I 96; 33.6 deg, I 17; 34.3 deg, I 26; 35.7 deg, I 24; 48.8 deg, I 20; 49.8 deg, I 19; 50.0 deg, I 26; 50.7 deg, I 20; 60.3 deg, I 15

Structure and computed powder diffractogram of NbOs3 (a cell relaxed with PBE; Cu Ka).
Neutral-atom scattering factors, no anomalous dispersion.

Crystal structure
Cell lengths 2.781, 2.781, 9.123 Å; angles 90.00, 90.00, 120.00 degrees
Element x y z (fractional)
Nb 0.000 0.000 0.000
Os 0.000 0.000 0.500
Os 0.667 0.333 0.266
Os 0.667 0.333 0.734

Principal peaks in the range 15 to 90 degrees two-theta, sorted by position:
37.3 deg, I 26; 39.5 deg, I 25; 42.4 deg, I 100; 48.2 deg, I 7; 55.5 deg, I 15; 67.3 deg, I 17; 73.7 deg, I 16; 81.0 deg, I 19; 82.9 deg, I 15; 84.5 deg, I 4

Structure and computed powder diffractogram of NbOs3 (a cell relaxed with PBE; Cu Ka).
Neutral-atom scattering factors, no anomalous dispersion.

Crystal structure
Cell lengths 3.938, 3.938, 3.938 Å; angles 90.00, 90.00, 90.00 degrees
Element x y z (fractional)
Nb 0.000 0.000 0.000
Os 0.000 0.500 0.500
Os 0.500 0.000 0.500
Os 0.500 0.500 0.000

Principal peaks in the range 15 to 90 degrees two-theta, sorted by position:
22.6 deg, I 6; 32.1 deg, I 5; 39.6 deg, I 100; 46.1 deg, I 49; 51.9 deg, I 3; 57.3 deg, I 2; 67.3 deg, I 32; 71.9 deg, I 1; 81.0 deg, I 38; 85.4 deg, I 11

Structure and computed powder diffractogram of Ta2NbOs (a cell relaxed with PBE; Cu Ka).
Neutral-atom scattering factors, no anomalous dispersion.

Crystal structure
Cell lengths 4.579, 4.579, 4.579 Å; angles 60.00, 60.00, 60.00 degrees
Element x y z (fractional)
Ta 0.250 0.250 0.250
Ta 0.750 0.750 0.750
Nb 0.000 0.000 0.000
Os 0.500 0.500 0.500

Principal peaks in the range 15 to 90 degrees two-theta, sorted by position:
23.8 deg, I 5; 27.6 deg, I 2; 39.4 deg, I 100; 46.5 deg, I 3; 56.9 deg, I 17; 62.5 deg, I 1; 71.4 deg, I 35; 76.4 deg, I 1; 84.7 deg, I 11; 89.6 deg, I 1

Structure and computed powder diffractogram of Nb2TcOs (a cell relaxed with PBE; Cu Ka).
Neutral-atom scattering factors, no anomalous dispersion.

Crystal structure
Cell lengths 4.522, 4.522, 4.522 Å; angles 60.00, 60.00, 60.00 degrees
Element x y z (fractional)
Nb 0.250 0.250 0.250
Nb 0.750 0.750 0.750
Tc 0.000 0.000 0.000
Os 0.500 0.500 0.500

Principal peaks in the range 15 to 90 degrees two-theta, sorted by position:
24.1 deg, I 8; 27.9 deg, I 5; 39.9 deg, I 100; 47.1 deg, I 4; 49.4 deg, I 2; 57.7 deg, I 17; 63.4 deg, I 2; 65.2 deg, I 2; 72.4 deg, I 34; 86.0 deg, I 11

Structure and computed powder diffractogram of NbTe4Os (a cell relaxed with PBE; Cu Ka).
Neutral-atom scattering factors, no anomalous dispersion.

Crystal structure
Cell lengths 3.779, 12.617, 13.658 Å; angles 90.00, 90.00, 90.00 degrees
Element x y z (fractional)
Nb 0.000 0.059 0.000
Nb 0.000 0.275 0.484
Nb 0.500 0.725 0.984
Nb 0.500 0.941 0.500
Te 0.000 0.066 0.389
Te 0.000 0.197 0.848
Te 0.000 0.348 0.085
Te 0.000 0.417 0.632
Te 0.000 0.565 0.394
Te 0.000 0.675 0.842
Te 0.000 0.850 0.098
Te 0.000 0.891 0.642
Te 0.500 0.109 0.142
Te 0.500 0.150 0.598
Te 0.500 0.325 0.342
Te 0.500 0.435 0.894
Te 0.500 0.583 0.132
Te 0.500 0.652 0.585
Te 0.500 0.803 0.348
Te 0.500 0.934 0.889
Os 0.000 0.545 0.997
Os 0.000 0.763 0.483
Os 0.500 0.237 0.983
Os 0.500 0.455 0.497

Principal peaks in the range 15 to 90 degrees two-theta, sorted by position:
29.1 deg, I 30; 30.5 deg, I 100; 33.9 deg, I 84; 34.6 deg, I 25; 38.9 deg, I 19; 39.5 deg, I 30; 43.3 deg, I 39; 48.2 deg, I 28; 48.9 deg, I 28; 50.1 deg, I 27

Structure and computed powder diffractogram of TmNbOs2 (a cell relaxed with PBE; Cu Ka).
Neutral-atom scattering factors, no anomalous dispersion.

Crystal structure
Cell lengths 4.622, 4.622, 4.622 Å; angles 60.00, 60.00, 60.00 degrees
Element x y z (fractional)
Tm 0.000 0.000 0.000
Nb 0.500 0.500 0.500
Os 0.250 0.250 0.250
Os 0.750 0.750 0.750

Principal peaks in the range 15 to 90 degrees two-theta, sorted by position:
23.6 deg, I 3; 27.3 deg, I 4; 39.0 deg, I 100; 46.1 deg, I 2; 48.2 deg, I 1; 56.3 deg, I 17; 61.9 deg, I 1; 63.7 deg, I 2; 70.6 deg, I 35; 83.7 deg, I 11